1.
Structure and theoretical X-ray diffraction stick pattern of Na8B13C3 (a DFT-relaxed cell (GGA-PBE, Alexandria); CuKα).

The 12 most intense peaks (2θ from 10° to 80°), sorted by position:
two_theta	d [Å]	I/Imax
34.13	2.627	11.7
35.75	2.512	18.5
40.21	2.243	52.5
41.63	2.170	100.0
41.98	2.152	37.1
56.29	1.634	10.2
62.15	1.494	18.3
65.25	1.430	8.1
75.71	1.256	8.6
76.45	1.246	12.7
77.84	1.227	17.3
79.49	1.206	10.6

Atomic structure:
```
Na8B13C3
1.0
9.0017 -1.4300 0.0000
9.0017 1.4300 0.0000
-3.0707 0.0000 10.0504
Na B C
8 13 3
direct
0.0000 0.0000 0.0000
0.2489 0.2489 0.1235
0.2505 0.2505 0.6255
0.4974 0.4974 0.7488
0.5001 0.5001 0.2489
0.7501 0.7501 0.8756
0.7510 0.7510 0.3750
0.9978 0.9978 0.4991
0.1243 0.1243 0.2276
0.1243 0.1243 0.3912
0.1249 0.1249 0.7449
0.3743 0.3743 0.0211
0.3743 0.3743 0.3466
0.3746 0.3746 0.5192
0.6240 0.6240 0.1341
0.6241 0.6241 0.9680
0.6245 0.6245 0.4878
0.6252 0.6252 0.6496
0.8741 0.8741 0.2510
0.8747 0.8747 0.6131
0.8748 0.8748 0.7889
0.1244 0.1244 0.8956
0.3749 0.3749 0.8619
0.8738 0.8738 0.0953
```


2.
Structure and theoretical X-ray diffraction stick pattern of ReC2 (a DFT-relaxed cell (GGA-PBE, Alexandria); CuKα).

The 12 most intense peaks (2θ from 10° to 80°), sorted by position:
two_theta	d [Å]	I/Imax
22.25	3.995	100.0
24.92	3.573	18.7
32.97	2.717	41.5
34.77	2.580	41.9
36.97	2.432	30.3
41.29	2.187	52.8
41.44	2.179	28.8
44.42	2.039	43.3
45.98	1.974	18.0
58.01	1.590	21.8
59.01	1.565	21.0
64.44	1.446	12.8

Atomic structure:
```
ReC2
1.0
5.2964 -1.4079 0.0000
5.2964 1.4079 0.0000
-0.9254 0.0000 3.9947
Re C
2 4
direct
0.0000 0.0000 0.0000
0.7476 0.7476 0.1405
0.1624 0.1624 0.4154
0.1656 0.1656 0.7643
0.4133 0.4133 0.2874
0.4437 0.4437 0.6341
```


3.
Structure and theoretical X-ray diffraction stick pattern of MnFeCo2H4 (a DFT-relaxed cell (GGA-PBE, Alexandria); CuKα).

The 6 most intense peaks (2θ from 10° to 80°), sorted by position:
two_theta	d [Å]	I/Imax
41.85	2.159	100.0
41.99	2.152	99.0
48.75	1.868	67.0
48.88	1.863	33.2
71.22	1.324	9.6
71.54	1.319	47.1

Atomic structure:
```
MnFeCo2H4
1.0
-2.6351 2.6481 3.7263
2.6351 -2.6481 3.7263
2.6351 2.6481 -3.7263
Mn Fe Co H
2 2 4 8
direct
0.0000 0.0000 0.0000
0.5000 0.0000 0.5000
0.5000 0.0000 0.0000
0.5000 0.5000 0.5000
0.0000 0.0000 0.5000
0.0000 0.5000 0.0000
0.0000 0.5000 0.5000
0.5000 0.5000 0.0000
0.2461 0.7478 0.4984
0.2495 0.2514 0.5019
0.2495 0.7475 0.9981
0.2506 0.2522 0.9984
0.7494 0.7478 0.0016
0.7505 0.2525 0.0019
0.7505 0.7486 0.4981
0.7539 0.2522 0.5016
```


4.
Structure and theoretical X-ray diffraction stick pattern of NpWN4 (a DFT-relaxed cell (GGA-PBE, Alexandria); CuKα).

The 12 most intense peaks (2θ from 10° to 80°), sorted by position:
two_theta	d [Å]	I/Imax
26.07	3.418	100.0
32.91	2.722	24.2
33.14	2.703	48.0
33.65	2.663	23.0
36.93	2.434	16.0
37.46	2.401	15.6
50.31	1.813	35.3
50.82	1.797	17.0
51.39	1.778	16.6
53.62	1.709	15.5
60.20	1.537	9.2
64.15	1.452	9.4

Atomic structure:
```
NpWN4
1.0
5.7370 0.0000 0.0000
0.0000 4.8678 0.0000
-2.1784 0.0000 5.4431
Np W N
2 2 8
direct
0.0000 0.0000 0.0000
0.0000 0.5000 0.5000
0.5000 0.0000 0.5000
0.5000 0.5000 0.0000
0.1667 0.1835 0.3681
0.1667 0.3165 0.8681
0.3610 0.7064 0.6796
0.3610 0.7936 0.1796
0.6390 0.2064 0.8204
0.6390 0.2936 0.3204
0.8333 0.6835 0.1319
0.8333 0.8165 0.6319
```


5.
Structure and theoretical X-ray diffraction stick pattern of LaPr2IO8 (a DFT-relaxed cell (GGA-PBE, Alexandria); CuKα).

The 12 most intense peaks (2θ from 10° to 80°), sorted by position:
two_theta	d [Å]	I/Imax
24.08	3.696	56.7
24.25	3.670	52.2
30.11	2.968	100.0
34.44	2.604	27.2
46.29	1.961	39.6
46.49	1.953	36.3
49.69	1.835	9.7
55.95	1.643	9.9
56.77	1.622	19.6
59.04	1.565	21.6
62.60	1.484	11.6
69.95	1.345	8.9

Atomic structure:
```
LaPr2IO8
1.0
3.6696 -3.6957 0.0000
3.6696 3.6957 0.0000
0.0000 0.0000 7.2238
La Pr I O
1 2 1 8
direct
0.0000 0.0000 0.0000
0.5000 0.5000 0.2541
0.5000 0.5000 0.7459
0.0000 0.0000 0.5000
0.1767 0.8233 0.3045
0.1767 0.8233 0.6955
0.2586 0.2586 0.5000
0.3107 0.3107 0.0000
0.6893 0.6893 0.0000
0.7414 0.7414 0.5000
0.8233 0.1767 0.3045
0.8233 0.1767 0.6955
```


6.
Structure and theoretical X-ray diffraction stick pattern of Na2MgO2 (a DFT-relaxed cell (GGA-PBE, Alexandria); CuKα).

The 12 most intense peaks (2θ from 10° to 80°), sorted by position:
two_theta	d [Å]	I/Imax
18.53	4.789	19.1
19.74	4.498	22.6
32.79	2.731	48.2
33.83	2.649	99.7
37.16	2.419	100.0
37.92	2.372	64.0
38.57	2.335	19.8
46.53	1.952	29.6
50.70	1.801	23.8
52.72	1.736	52.1
55.45	1.657	43.2
61.43	1.509	18.8

Atomic structure:
```
Na2MgO2
1.0
-2.8286 4.4979 2.7312
2.8286 -4.4979 2.7312
2.8286 4.4979 -2.7312
Na Mg O
4 2 4
direct
0.1537 0.1042 0.2578
0.3463 0.6042 0.9505
0.6537 0.3958 0.0495
0.8463 0.8958 0.7422
0.2500 0.7500 0.5000
0.7500 0.2500 0.5000
0.0991 0.7052 0.8042
0.4009 0.2052 0.6061
0.5991 0.7948 0.3939
0.9009 0.2948 0.1958
```


7.
Structure and theoretical X-ray diffraction stick pattern of Ca2HgBrO3 (a DFT-relaxed cell (GGA-PBE, Alexandria); CuKα).

The 12 most intense peaks (2θ from 10° to 80°), sorted by position:
two_theta	d [Å]	I/Imax
15.48	5.724	80.8
25.72	3.464	100.0
27.67	3.224	19.5
30.16	2.963	48.5
36.14	2.486	54.1
38.39	2.345	56.0
40.04	2.252	23.5
45.35	2.000	21.8
52.45	1.745	40.9
52.87	1.732	31.1
54.15	1.694	20.6
65.72	1.421	18.3

Atomic structure:
```
Ca2HgBrO3
1.0
3.4636 1.9997 6.3722
-3.4636 1.9997 6.3722
0.0000 -3.9994 6.3722
Ca Hg Br O
4 2 2 6
direct
0.0000 0.0000 0.0000
0.0000 0.0000 0.5000
0.0000 0.5000 0.0000
0.5000 0.0000 0.0000
0.4217 0.4217 0.4217
0.5783 0.5783 0.5783
0.2728 0.2728 0.2728
0.7272 0.7272 0.7272
0.1994 0.7572 0.7572
0.2428 0.2428 0.8006
0.2428 0.8006 0.2428
0.7572 0.1994 0.7572
0.7572 0.7572 0.1994
0.8006 0.2428 0.2428
```


8.
Structure and theoretical X-ray diffraction stick pattern of AcNd2PuAs4 (a DFT-relaxed cell (GGA-PBE, Alexandria); CuKα).

The 12 most intense peaks (2θ from 10° to 80°), sorted by position:
two_theta	d [Å]	I/Imax
12.55	7.051	5.3
24.19	3.680	3.8
25.27	3.524	32.1
29.26	3.052	100.0
41.86	2.158	76.1
49.53	1.840	16.9
51.89	1.762	27.2
60.69	1.526	12.7
66.81	1.400	7.2
68.77	1.365	29.2
68.85	1.364	5.7
76.45	1.246	23.8

Atomic structure:
```
AcNd2PuAs4
1.0
7.4686 0.0000 0.0000
0.0000 4.3176 0.0000
-2.4849 0.0000 7.0514
Ac Nd Pu As
1 2 1 4
direct
0.0000 0.0000 0.0000
0.0000 0.5000 0.5000
0.5000 0.0000 0.5000
0.5000 0.5000 0.0000
0.2623 0.0000 0.7525
0.2633 0.5000 0.2562
0.7367 0.5000 0.7438
0.7377 0.0000 0.2475
```


9.
Structure and theoretical X-ray diffraction stick pattern of Cu6Sn5 (a DFT-relaxed cell (GGA-PBE, Alexandria); CuKα).

The 12 most intense peaks (2θ from 10° to 80°), sorted by position:
two_theta	d [Å]	I/Imax
29.84	2.995	100.0
42.42	2.131	59.2
42.56	2.124	30.3
42.93	2.107	80.8
52.82	1.733	11.4
59.56	1.552	12.5
61.93	1.498	15.7
62.08	1.495	8.3
69.85	1.347	7.1
77.80	1.228	7.8
77.92	1.226	11.0
78.07	1.224	7.3

Atomic structure:
```
Cu6Sn5
1.0
5.5591 -3.6953 0.0000
5.5591 3.6953 0.0000
-1.4831 0.0000 9.8066
Cu Sn
12 10
direct
0.0000 0.0000 0.0000
0.0000 0.0000 0.5000
0.1597 0.8403 0.7500
0.1885 0.1982 0.8907
0.1982 0.1885 0.3907
0.3701 0.4273 0.7964
0.4273 0.3701 0.2964
0.5727 0.6299 0.7036
0.6299 0.5727 0.2036
0.8018 0.8115 0.6093
0.8115 0.8018 0.1093
0.8403 0.1597 0.2500
0.0594 0.3690 0.1430
0.2006 0.7994 0.2500
0.2282 0.5550 0.5284
0.3690 0.0594 0.6430
0.4450 0.7718 0.9716
0.5550 0.2282 0.0284
0.6310 0.9406 0.3570
0.7718 0.4450 0.4716
0.7994 0.2006 0.7500
0.9406 0.6310 0.8570
```


10.
Structure and theoretical X-ray diffraction stick pattern of SrHgPb2Br8 (a DFT-relaxed cell (GGA-PBE, Alexandria); CuKα).

The 12 most intense peaks (2θ from 10° to 80°), sorted by position:
two_theta	d [Å]	I/Imax
17.66	5.023	93.3
17.76	4.993	100.0
23.18	3.837	45.7
24.10	3.693	37.8
26.73	3.335	33.7
27.79	3.210	34.5
34.20	2.622	41.6
34.58	2.594	42.8
35.97	2.497	65.4
40.19	2.244	43.1
41.74	2.164	39.4
42.99	2.104	34.2

Atomic structure:
```
SrHgPb2Br8
1.0
6.9114 0.0000 0.0000
-0.0327 7.2783 0.0000
-0.3732 -0.3030 8.9748
Sr Hg Pb Br
1 1 2 8
direct
0.0000 0.0000 0.0000
0.0000 0.0000 0.5000
0.4940 0.4908 0.2590
0.5060 0.5092 0.7410
0.2155 0.1401 0.7246
0.2491 0.6577 0.4967
0.2579 0.1558 0.2588
0.2593 0.6586 0.9960
0.7407 0.3414 0.0040
0.7421 0.8442 0.7412
0.7509 0.3423 0.5033
0.7845 0.8599 0.2754
```


11.
Structure and theoretical X-ray diffraction stick pattern of Rb4Ac3InO8 (a DFT-relaxed cell (GGA-PBE, Alexandria); CuKα).

The 12 most intense peaks (2θ from 10° to 80°), sorted by position:
two_theta	d [Å]	I/Imax
13.33	6.642	42.0
26.85	3.321	38.3
27.67	3.223	16.6
28.76	3.104	89.7
32.79	2.732	100.0
45.81	1.981	35.8
48.26	1.886	33.9
53.90	1.701	19.7
56.08	1.640	31.4
57.15	1.612	14.1
59.57	1.552	17.9
76.43	1.246	14.4

Atomic structure:
```
Rb4Ac3InO8
1.0
6.5346 -3.7708 0.0000
6.5346 3.7708 0.0000
-4.3557 0.0000 6.6420
Rb Ac In O
4 3 1 8
direct
0.0000 0.0000 0.0000
0.0000 0.5000 0.0000
0.5000 0.0000 0.0000
0.5000 0.5000 0.0000
0.0000 0.0000 0.5000
0.0000 0.5000 0.5000
0.5000 0.0000 0.5000
0.5000 0.5000 0.5000
0.2285 0.2285 0.6857
0.2477 0.7182 0.6842
0.2808 0.2808 0.3150
0.2818 0.7523 0.3158
0.7182 0.2477 0.6842
0.7192 0.7192 0.6850
0.7523 0.2818 0.3158
0.7715 0.7715 0.3143
```


12.
Structure and theoretical X-ray diffraction stick pattern of TbNd4Y7 (a DFT-relaxed cell (GGA-PBE, Alexandria); CuKα).

The 12 most intense peaks (2θ from 10° to 80°), sorted by position:
two_theta	d [Å]	I/Imax
21.17	4.196	30.7
26.86	3.320	39.8
29.18	3.060	20.2
30.13	2.966	100.0
30.27	2.953	44.4
30.43	2.937	25.3
32.01	2.796	79.1
32.14	2.785	38.7
32.97	2.717	32.3
33.25	2.695	79.0
43.24	2.093	32.9
62.66	1.483	20.3

Atomic structure:
```
TbNd4Y7
1.0
6.0950 -2.9660 0.0000
6.0950 2.9660 0.0000
-5.9758 0.0000 11.4596
Tb Nd Y
1 4 7
direct
0.0000 0.0000 0.0000
0.2158 0.2158 0.6623
0.3592 0.3592 0.2232
0.6408 0.6408 0.7768
0.7842 0.7842 0.3377
0.0717 0.0717 0.3069
0.2109 0.2109 0.9228
0.3673 0.3673 0.5064
0.5000 0.5000 0.0000
0.6327 0.6327 0.4936
0.7891 0.7891 0.0772
0.9283 0.9283 0.6931
```